1.
Diffraction record for Li4V5Sn3O16. The PXRD pattern is computed, not measured: it uses a crystal structure in the Materials Project, relaxed with PBE+U and Cu Ka.
No peak broadening, texture or thermal motion is included.

Structure:
Unit cell a=6.1146 b=6.1443 c=9.7335 alpha=89.36 beta=89.70 gamma=60.28
Sites, in units of the cell vectors:
Li (0.0000, 0.0000, 0.0000)
Li (0.0073, 0.9871, 0.4927)
Li (0.3457, 0.3064, 0.5966)
Li (0.6844, 0.6268, 0.1015)
V (0.1872, 0.1406, 0.2789)
V (0.3465, 0.3021, 0.0064)
V (0.6742, 0.1438, 0.2810)
V (0.6840, 0.6384, 0.5022)
V (0.8433, 0.3127, 0.7781)
Sn (0.1825, 0.6350, 0.2782)
Sn (0.3514, 0.8049, 0.7788)
Sn (0.8435, 0.8054, 0.7791)
O (0.0132, 0.9756, 0.6759)
O (0.0190, 0.9800, 0.1826)
O (0.0531, 0.4443, 0.1517)
O (0.1706, 0.1449, 0.8906)
O (0.1738, 0.6507, 0.9011)
O (0.3352, 0.3038, 0.3911)
O (0.3428, 0.8168, 0.3927)
O (0.4747, 0.0186, 0.1598)
O (0.5003, 0.4422, 0.1513)
O (0.5318, 0.9388, 0.6462)
O (0.5374, 0.4906, 0.6500)
O (0.6787, 0.6405, 0.8954)
O (0.6846, 0.1428, 0.8920)
O (0.8428, 0.8175, 0.3925)
O (0.8643, 0.2956, 0.3828)
O (0.9719, 0.4921, 0.6503)

Peak list (10 most intense, 2θ = 10–90°, in order of rising 2θ)
| Position (°2θ) | I (rel.) |
| --- | --- |
| 16.6 | 21.7 |
| 18.2 | 100.0 |
| 19.0 | 75.1 |
| 19.1 | 17.3 |
| 24.7 | 18.6 |
| 24.9 | 22.7 |
| 34.4 | 17.1 |
| 34.8 | 32.6 |
| 35.0 | 59.1 |
| 44.1 | 26.1 |

---

2.
Diffraction record for Li4V5SnO12. The PXRD pattern is computed, not measured: it uses a crystal structure in the Materials Project, relaxed with PBE+U and Cu Ka.
No peak broadening, texture or thermal motion is included.

Structure:
Unit cell a=5.2374 b=5.2374 c=10.2865 alpha=90.24 beta=90.24 gamma=119.48
Sites, in units of the cell vectors:
Li (0.1360, 0.6544, 0.7470)
Li (0.3456, 0.8640, 0.2530)
Li (0.6544, 0.1360, 0.7470)
Li (0.8640, 0.3456, 0.2530)
V (0.0000, 0.0000, 0.5000)
V (0.1636, 0.8364, 0.0000)
V (0.3426, 0.6574, 0.5000)
V (0.6574, 0.3426, 0.5000)
V (0.8364, 0.1636, 0.0000)
Sn (0.5000, 0.5000, 0.0000)
O (0.0050, 0.6566, 0.3962)
O (0.1622, 0.1622, 0.8986)
O (0.1649, 0.5162, 0.1101)
O (0.3249, 0.3249, 0.3986)
O (0.3434, 0.9950, 0.6038)
O (0.4838, 0.8351, 0.8899)
O (0.5162, 0.1649, 0.1101)
O (0.6566, 0.0050, 0.3962)
O (0.6751, 0.6751, 0.6014)
O (0.8351, 0.4838, 0.8899)
O (0.8378, 0.8378, 0.1014)
O (0.9950, 0.3434, 0.6038)

Peak list (10 most intense, 2θ = 10–90°, in order of rising 2θ)
| Position (°2θ) | I (rel.) |
| --- | --- |
| 17.2 | 100.0 |
| 34.0 | 8.5 |
| 35.4 | 33.1 |
| 38.2 | 8.7 |
| 38.5 | 17.7 |
| 43.4 | 18.1 |
| 43.6 | 18.3 |
| 56.8 | 9.5 |
| 57.0 | 9.6 |
| 61.6 | 9.3 |

---

3.
Diffraction record for Li4Ti3V3Te2O16. The PXRD pattern is computed, not measured: it uses a crystal structure in the Materials Project, relaxed with PBE+U and Cu Ka.
No peak broadening, texture or thermal motion is included.

Structure:
Unit cell a=5.9443 b=6.0846 c=10.2802 alpha=89.89 beta=89.84 gamma=60.90
Sites, in units of the cell vectors:
Li (0.0000, 0.0000, 0.0000)
Li (0.0038, 0.9946, 0.5091)
Li (0.3336, 0.3292, 0.0998)
Li (0.6584, 0.6803, 0.5894)
Ti (0.1794, 0.6466, 0.7629)
Ti (0.3422, 0.8187, 0.2754)
Ti (0.8393, 0.8187, 0.2758)
V (0.1677, 0.1785, 0.7778)
V (0.6527, 0.1782, 0.7782)
V (0.8284, 0.3411, 0.2875)
Te (0.3414, 0.3142, 0.4994)
Te (0.6695, 0.6668, 0.9837)
O (0.0156, 0.9867, 0.6911)
O (0.0168, 0.5051, 0.6627)
O (0.1394, 0.7179, 0.3866)
O (0.1616, 0.1538, 0.3990)
O (0.3067, 0.3618, 0.8855)
O (0.3354, 0.8355, 0.8912)
O (0.4642, 0.0479, 0.6405)
O (0.4748, 0.5068, 0.6584)
O (0.4992, 0.5164, 0.1830)
O (0.5129, 0.9738, 0.1750)
O (0.6562, 0.6853, 0.3865)
O (0.6830, 0.1521, 0.4013)
O (0.8345, 0.8350, 0.8943)
O (0.8435, 0.3271, 0.8969)
O (0.9811, 0.5180, 0.1815)
O (0.9994, 0.0006, 0.1841)

Peak list (10 most intense, 2θ = 10–90°, in order of rising 2θ)
| Position (°2θ) | I (rel.) |
| --- | --- |
| 17.3 | 17.8 |
| 18.8 | 57.3 |
| 19.2 | 100.0 |
| 24.4 | 37.8 |
| 31.1 | 30.2 |
| 31.3 | 48.8 |
| 34.2 | 57.9 |
| 34.9 | 54.4 |
| 35.7 | 23.2 |
| 43.7 | 18.3 |